1.
# KCaNi2Cl8
Computed powder XRD pattern, Cu Ka. Input: DFT lattice parameters and positions (GGA-PBE).
Lines closer than 0.1° are merged.

Structure:
abc: 6.4733 6.4733 27.7826
angles: 90.00 90.00 120.00
Space group R-3 (No. 148, hexagonal axes)
One atom of each set of equivalent atoms:
K 0.0000 0.0000 0.0000 x3
Ca 0.0000 0.0000 0.5000 x3
Ni 0.0000 0.0000 0.2482 x6
Cl 0.0000 0.0000 0.3261 x6
Cl 0.0024 0.6569 0.5595 x18

Peak list (6 most intense, 2θ = 15–90°, low angle first)
| 2θ/deg | I (rel.) |
| --- | --- |
| 20.4 | 1000 |
| 27.6 | 439 |
| 29.2 | 957 |
| 33.8 | 441 |
| 48.3 | 607 |
| 48.7 | 637 |

---

2.
# K3CaNi2Cl9
Computed powder XRD pattern, Cu Ka. Input: DFT lattice parameters and positions (GGA-PBE).
Lines closer than 0.1° are merged.

Structure:
abc: 7.0741 7.0741 8.8387
angles: 90.00 90.00 120.00
Space group P-3m1 (No. 164)
One atom of each set of equivalent atoms:
K 0.0000 0.0000 0.0000 x1
K 0.3333 0.6667 0.7035 x2
Ca 0.0000 0.0000 0.5000 x1
Ni 0.3333 0.6667 0.1625 x2
Cl 0.0000 0.5000 0.0000 x3
Cl 0.1746 0.3493 0.3157 x6

Peak list (6 most intense, 2θ = 15–90°, low angle first)
| 2θ/deg | I (rel.) |
| --- | --- |
| 17.6 | 473 |
| 25.2 | 250 |
| 30.9 | 304 |
| 35.7 | 1000 |
| 51.0 | 289 |
| 51.7 | 315 |